Record 1
Starting from a crystal structure in Alexandria, relaxed with PBE, the PXRD pattern of SmZn3Ag2 was simulated for copper Kα.

Largest 10 diffraction maxima, by intensity, 2θ from 10° to 80°:
| 2θ/deg | I (rel.) |
| --- | --- |
| 36.5 | 100.0 |
| 33.2 | 94.6 |
| 33.6 | 66.0 |
| 38.4 | 65.2 |
| 32.3 | 57.9 |
| 42.7 | 55.4 |
| 57.2 | 39.9 |
| 42.6 | 39.4 |
| 45.6 | 39.4 |
| 28.1 | 35.9 |

Atomic structure:
```
SmZn3Ag2
1.0
4.9427 -4.1509 0.0000
4.9427 4.1509 0.0000
0.0000 0.0000 5.6815
Sm Zn Ag
2 6 4
direct
0.1547 0.8453 0.7500
0.8453 0.1547 0.2500
0.0709 0.6353 0.2500
0.3647 0.9291 0.2500
0.4697 0.5303 0.2500
0.5303 0.4697 0.7500
0.6353 0.0709 0.7500
0.9291 0.3647 0.7500
0.2738 0.2738 0.0000
0.2738 0.2738 0.5000
0.7262 0.7262 0.0000
0.7262 0.7262 0.5000
```

***

Record 2
Starting from a crystal structure in Alexandria, relaxed with PBE, the PXRD pattern of Sm2Zn5Ag5 was simulated for copper Kα.

Largest 10 diffraction maxima, by intensity, 2θ from 10° to 80°:
| 2θ/deg | I (rel.) |
| --- | --- |
| 38.5 | 100.0 |
| 38.0 | 63.5 |
| 36.7 | 62.0 |
| 42.3 | 47.9 |
| 27.7 | 46.4 |
| 27.9 | 37.6 |
| 57.3 | 32.9 |
| 42.6 | 26.8 |
| 37.4 | 26.4 |
| 60.8 | 25.2 |

Atomic structure:
```
Sm2Zn5Ag5
1.0
4.2692 0.0000 0.0000
0.0000 5.6828 0.0000
0.0000 0.0000 9.6222
Sm Zn Ag
2 5 5
direct
0.0000 0.0000 0.0000
0.0000 0.5000 0.5000
0.0000 0.0000 0.3337
0.0000 0.0000 0.6663
0.0000 0.5000 0.1589
0.0000 0.5000 0.8411
0.5000 0.5000 0.0000
0.5000 0.0000 0.5000
0.5000 0.2494 0.2425
0.5000 0.2494 0.7575
0.5000 0.7506 0.2425
0.5000 0.7506 0.7575
```

***

Record 3
Starting from a crystal structure in Alexandria, relaxed with PBE, the PXRD pattern of Sm3Zn8Ag3 was simulated for copper Kα.

Largest 10 diffraction maxima, by intensity, 2θ from 10° to 80°:
| 2θ/deg | I (rel.) |
| --- | --- |
| 34.7 | 100.0 |
| 40.3 | 46.6 |
| 36.2 | 36.3 |
| 38.7 | 25.6 |
| 40.1 | 20.9 |
| 58.2 | 14.7 |
| 69.6 | 13.9 |
| 33.3 | 13.8 |
| 34.8 | 13.2 |
| 55.2 | 13.1 |

Atomic structure:
```
Sm3Zn8Ag3
1.0
-2.2398 4.4695 6.7400
2.2398 -4.4695 6.7400
2.2398 4.4695 -6.7400
Sm Zn Ag
3 8 3
direct
0.0000 0.0000 0.0000
0.2997 0.2997 0.0000
0.7003 0.7003 0.0000
0.0296 0.6688 0.3608
0.1409 0.8622 0.2788
0.3080 0.6688 0.6392
0.4166 0.1378 0.2788
0.5834 0.8622 0.7212
0.6920 0.3312 0.3608
0.8591 0.1378 0.7212
0.9704 0.3312 0.6392
0.2926 0.5000 0.7926
0.5000 0.0000 0.5000
0.7074 0.5000 0.2074
```

***

Record 4
Starting from a crystal structure in Alexandria, relaxed with PBE, the PXRD pattern of SmZn2Ag2 was simulated for copper Kα.

Largest 10 diffraction maxima, by intensity, 2θ from 10° to 80°:
| 2θ/deg | I (rel.) |
| --- | --- |
| 36.6 | 100.0 |
| 35.5 | 96.5 |
| 21.1 | 68.4 |
| 33.3 | 57.9 |
| 42.9 | 52.3 |
| 42.6 | 47.3 |
| 42.7 | 45.0 |
| 47.1 | 38.6 |
| 36.7 | 35.0 |
| 24.9 | 34.5 |

Atomic structure:
```
SmZn2Ag2
1.0
5.3009 0.0000 0.0000
2.6373 4.7684 0.0000
2.6370 0.0105 8.4375
Sm Zn Ag
2 4 4
direct
0.1270 0.2504 0.2482
0.8730 0.7496 0.7518
0.2508 0.7495 0.9951
0.4980 0.7493 0.5053
0.5020 0.2507 0.4947
0.7492 0.2505 0.0049
0.1997 0.0992 0.7496
0.4526 0.6002 0.2491
0.5474 0.3998 0.7509
0.8003 0.9008 0.2504
```

***

Record 5
Starting from a crystal structure in Alexandria, relaxed with PBE, the PXRD pattern of AgSn was simulated for copper Kα.

Largest 10 diffraction maxima, by intensity, 2θ from 10° to 80°:
| 2θ/deg | I (rel.) |
| --- | --- |
| 38.7 | 100.0 |
| 37.7 | 95.2 |
| 39.6 | 71.0 |
| 30.1 | 57.1 |
| 62.2 | 33.0 |
| 38.3 | 32.6 |
| 68.2 | 28.0 |
| 41.7 | 26.0 |
| 15.2 | 23.8 |
| 53.0 | 23.4 |

Atomic structure:
```
AgSn
1.0
3.4532 0.0000 0.0000
0.0000 12.5760 0.0000
0.0000 0.0000 6.5924
Ag Sn
6 6
direct
0.0000 0.0000 0.0000
0.0000 0.5000 0.5000
0.5000 0.1153 0.7142
0.5000 0.3847 0.2142
0.5000 0.6153 0.2142
0.5000 0.8847 0.7142
0.0000 0.0000 0.4191
0.0000 0.2246 0.0336
0.0000 0.2754 0.5336
0.0000 0.5000 0.9191
0.0000 0.7246 0.5336
0.0000 0.7754 0.0336
```

***

Record 6
Starting from a crystal structure in Alexandria, relaxed with PBE, the PXRD pattern of Ag6Sn was simulated for copper Kα.

Largest 5 diffraction maxima, by intensity, 2θ from 10° to 80°:
| 2θ/deg | I (rel.) |
| --- | --- |
| 37.9 | 100.0 |
| 38.0 | 99.6 |
| 68.6 | 49.3 |
| 54.8 | 33.0 |
| 68.4 | 16.4 |

Atomic structure:
```
Ag6Sn
1.0
2.3675 1.3669 6.7930
-2.3675 1.3669 6.7930
0.0000 -2.7338 6.7930
Ag Sn
6 1
direct
0.0694 0.0694 0.0694
0.2148 0.2148 0.2148
0.3557 0.3557 0.3557
0.6443 0.6443 0.6443
0.7852 0.7852 0.7852
0.9306 0.9306 0.9306
0.5000 0.5000 0.5000
```

***

Record 7
Starting from a crystal structure in Alexandria, relaxed with PBE, the PXRD pattern of AgSn3 was simulated for copper Kα.

Largest 10 diffraction maxima, by intensity, 2θ from 10° to 80°:
| 2θ/deg | I (rel.) |
| --- | --- |
| 31.2 | 100.0 |
| 34.6 | 89.2 |
| 33.6 | 75.4 |
| 33.3 | 56.7 |
| 39.9 | 53.3 |
| 33.8 | 45.7 |
| 38.4 | 40.7 |
| 38.1 | 38.7 |
| 65.0 | 34.4 |
| 31.5 | 33.4 |

Atomic structure:
```
AgSn3
1.0
12.0420 0.0000 0.0000
0.0000 12.0420 0.0000
0.0000 0.0000 5.6155
Ag Sn
8 24
direct
0.0358 0.1971 0.0121
0.1971 0.4642 0.4879
0.3029 0.0358 0.4879
0.4642 0.3029 0.0121
0.5358 0.6971 0.9879
0.6971 0.9642 0.5121
0.8029 0.5358 0.5121
0.9642 0.8029 0.9879
0.0230 0.5780 0.7776
0.0780 0.9770 0.2776
0.1143 0.2312 0.5127
0.1398 0.6820 0.2656
0.1820 0.8602 0.7656
0.2312 0.3857 0.9873
0.2688 0.1143 0.9873
0.3180 0.6398 0.7656
0.3602 0.8180 0.2656
0.3857 0.2688 0.5127
0.4220 0.5230 0.2776
0.4770 0.9220 0.7776
0.5230 0.0780 0.2224
0.5780 0.4770 0.7224
0.6143 0.7312 0.4873
0.6398 0.1820 0.7344
0.6820 0.3602 0.2344
0.7312 0.8857 0.0127
0.7688 0.6143 0.0127
0.8180 0.1398 0.2344
0.8602 0.3180 0.7344
0.8857 0.7688 0.4873
0.9220 0.0230 0.7224
0.9770 0.4220 0.2224
```

***

Record 8
Starting from a crystal structure in Alexandria, relaxed with PBE, the PXRD pattern of AgSn was simulated for copper Kα.

Largest 10 diffraction maxima, by intensity, 2θ from 10° to 80°:
| 2θ/deg | I (rel.) |
| --- | --- |
| 41.6 | 100.0 |
| 32.9 | 63.4 |
| 36.9 | 51.8 |
| 29.8 | 40.4 |
| 69.7 | 34.2 |
| 34.1 | 31.5 |
| 45.0 | 17.2 |
| 11.5 | 15.8 |
| 71.9 | 14.9 |
| 60.0 | 14.7 |

Atomic structure:
```
AgSn
1.0
10.8956 0.0000 0.0000
0.0000 10.8956 0.0000
0.0000 0.0000 3.1203
Ag Sn
8 8
direct
0.0915 0.6295 0.0000
0.1295 0.4085 0.5000
0.3705 0.0915 0.0000
0.4085 0.8705 0.5000
0.5915 0.1295 0.5000
0.6295 0.9085 0.0000
0.8705 0.5915 0.5000
0.9085 0.3705 0.0000
0.1096 0.1767 0.0000
0.1767 0.8904 0.0000
0.3233 0.6096 0.5000
0.3904 0.3233 0.5000
0.6096 0.6767 0.5000
0.6767 0.3904 0.5000
0.8233 0.1096 0.0000
0.8904 0.8233 0.0000
```

***

Record 9
Starting from a crystal structure in Alexandria, relaxed with PBE, the PXRD pattern of Sr3AgSn4 was simulated for copper Kα.

Largest 10 diffraction maxima, by intensity, 2θ from 10° to 80°:
| 2θ/deg | I (rel.) |
| --- | --- |
| 34.7 | 100.0 |
| 25.0 | 99.4 |
| 18.7 | 87.8 |
| 30.4 | 69.8 |
| 51.2 | 66.3 |
| 37.1 | 56.0 |
| 36.5 | 55.2 |
| 34.3 | 46.9 |
| 38.9 | 25.3 |
| 48.4 | 24.2 |

Atomic structure:
```
Sr3AgSn4
1.0
4.9242 0.0000 0.0000
0.0000 6.2634 0.0000
0.0000 0.0000 18.3378
Sr Ag Sn
6 2 8
direct
0.0000 0.0000 0.0000
0.0000 0.5000 0.2104
0.0000 0.5000 0.7896
0.5000 0.0000 0.2896
0.5000 0.0000 0.7104
0.5000 0.5000 0.5000
0.0000 0.0000 0.5000
0.5000 0.5000 0.0000
0.0000 0.2672 0.3804
0.0000 0.2672 0.6196
0.0000 0.7328 0.3804
0.0000 0.7328 0.6196
0.5000 0.2328 0.1196
0.5000 0.2328 0.8804
0.5000 0.7672 0.1196
0.5000 0.7672 0.8804
```

***

Record 10
Starting from a crystal structure in Alexandria, relaxed with PBE, the PXRD pattern of SrAg12Sn7 was simulated for copper Kα.

Largest 10 diffraction maxima, by intensity, 2θ from 10° to 80°:
| 2θ/deg | I (rel.) |
| --- | --- |
| 36.6 | 100.0 |
| 37.7 | 66.1 |
| 31.0 | 42.5 |
| 39.7 | 41.9 |
| 37.5 | 39.3 |
| 33.1 | 37.3 |
| 30.7 | 33.2 |
| 53.5 | 25.3 |
| 35.6 | 25.1 |
| 39.5 | 22.0 |

Atomic structure:
```
SrAg12Sn7
1.0
7.3561 4.2470 2.3965
-7.3561 4.2470 2.3965
0.0000 -8.4941 2.3965
Sr Ag Sn
1 12 7
direct
0.0000 0.0000 0.0000
0.0000 0.2660 0.7340
0.0000 0.7340 0.2660
0.0551 0.3956 0.3956
0.2660 0.0000 0.7340
0.2660 0.7340 0.0000
0.3956 0.0551 0.3956
0.3956 0.3956 0.0551
0.6044 0.6044 0.9449
0.6044 0.9449 0.6044
0.7340 0.0000 0.2660
0.7340 0.2660 0.0000
0.9449 0.6044 0.6044
0.1945 0.1945 0.5432
0.1945 0.5432 0.1945
0.4568 0.8055 0.8055
0.5000 0.5000 0.5000
0.5432 0.1945 0.1945
0.8055 0.4568 0.8055
0.8055 0.8055 0.4568
```

***

Record 11
Starting from a crystal structure in Alexandria, relaxed with PBE, the PXRD pattern of Sr3Ag6Sn5 was simulated for copper Kα.

Largest 10 diffraction maxima, by intensity, 2θ from 10° to 80°:
| 2θ/deg | I (rel.) |
| --- | --- |
| 31.7 | 100.0 |
| 37.7 | 50.3 |
| 31.8 | 27.9 |
| 38.1 | 26.6 |
| 34.3 | 25.9 |
| 54.6 | 20.9 |
| 36.9 | 19.6 |
| 43.9 | 19.6 |
| 17.0 | 18.2 |
| 31.9 | 16.6 |

Atomic structure:
```
Sr3Ag6Sn5
1.0
4.7777 0.0000 0.0000
0.0000 14.1733 0.0000
0.0000 0.0000 10.4521
Sr Ag Sn
6 12 10
direct
0.2500 0.0634 0.2426
0.2500 0.4366 0.2426
0.2500 0.7500 0.2413
0.7500 0.2500 0.7587
0.7500 0.5634 0.7574
0.7500 0.9366 0.7574
0.2500 0.0718 0.6014
0.2500 0.2500 0.0304
0.2500 0.2500 0.4767
0.2500 0.4282 0.6014
0.2500 0.6009 0.9878
0.2500 0.8991 0.9878
0.7500 0.1009 0.0122
0.7500 0.3991 0.0122
0.7500 0.5718 0.3986
0.7500 0.7500 0.5233
0.7500 0.7500 0.9696
0.7500 0.9282 0.3986
0.2500 0.0847 0.8718
0.2500 0.4153 0.8718
0.2500 0.6296 0.5354
0.2500 0.7500 0.7952
0.2500 0.8704 0.5354
0.7500 0.1296 0.4646
0.7500 0.2500 0.2048
0.7500 0.3704 0.4646
0.7500 0.5847 0.1282
0.7500 0.9153 0.1282
```

***

Record 12
Starting from a crystal structure in Alexandria, relaxed with PBE, the PXRD pattern of Sr2Ag3Sn was simulated for copper Kα.

Largest 10 diffraction maxima, by intensity, 2θ from 10° to 80°:
| 2θ/deg | I (rel.) |
| --- | --- |
| 37.2 | 100.0 |
| 30.6 | 97.1 |
| 36.3 | 67.7 |
| 31.1 | 62.1 |
| 35.3 | 31.8 |
| 30.0 | 29.0 |
| 30.7 | 27.3 |
| 36.0 | 25.6 |
| 31.7 | 21.5 |
| 58.7 | 21.3 |

Atomic structure:
```
Sr2Ag3Sn
1.0
11.3139 0.0000 0.0000
0.0000 4.9460 0.0000
-5.3833 0.0000 5.8305
Sr Ag Sn
4 6 2
direct
0.0000 0.0000 0.0000
0.0977 0.0000 0.5999
0.5000 0.5000 0.0000
0.5977 0.5000 0.5999
0.2079 0.5000 0.0231
0.3828 0.0000 0.1835
0.3837 0.0000 0.5760
0.7079 0.0000 0.0231
0.8828 0.5000 0.1835
0.8837 0.5000 0.5760
0.2179 0.5000 0.4099
0.7179 0.0000 0.4099
```